No. 1
Starting from the PBE geometry in Alexandria, the powder X-ray diffraction pattern of V4AgSe8 was calculated for Cu Kα.

Main lines, by angle (2θ = 10–90°):
2θ/deg	d (Å)	Rel. int.
24.27	3.668	17.3
28.54	3.128	41.2
29.84	2.995	73.8
34.59	2.593	89.7
42.70	2.118	23.2
45.43	1.996	32.3
49.72	1.834	100.0
59.07	1.564	29.2
61.98	1.497	16.6
83.32	1.160	16.6

Crystal structure
Cell: 7.335 7.335 7.335 Å, 60.00 60.00 60.00°
Positions (direct):
V 0.110 0.110 0.110
V 0.110 0.110 0.671
V 0.110 0.671 0.110
V 0.671 0.110 0.110
Ag 0.500 0.500 0.500
Se 0.359 0.359 0.359
Se 0.359 0.359 0.924
Se 0.359 0.924 0.359
Se 0.383 0.872 0.872
Se 0.872 0.383 0.872
Se 0.872 0.872 0.383
Se 0.872 0.872 0.872
Se 0.924 0.359 0.359

No. 2
Starting from the PBE geometry in Alexandria, the powder X-ray diffraction pattern of SmCuSi3 was calculated for Cu Kα.

Main lines, by angle (2θ = 10–90°):
2θ/deg	d (Å)	Rel. int.
16.79	5.281	20.5
25.27	3.524	18.0
30.49	2.932	13.0
31.31	2.857	10.3
33.59	2.668	100.0
44.37	2.042	14.7
44.54	2.034	33.8
56.93	1.618	17.9
64.68	1.441	21.7
75.02	1.266	18.7

Crystal structure
Cell: 10.757 10.757 4.084 Å, 90.00 90.00 158.19°
Positions (direct):
Sm 0.167 0.833 0.000
Sm 0.833 0.167 0.000
Cu 0.389 0.611 0.500
Cu 0.611 0.389 0.500
Si 0.055 0.945 0.500
Si 0.279 0.721 0.500
Si 0.445 0.555 0.000
Si 0.555 0.445 0.000
Si 0.721 0.279 0.500
Si 0.945 0.055 0.500

No. 3
Starting from the PBE geometry in Alexandria, the powder X-ray diffraction pattern of Li2Mg5Ag4 was calculated for Cu Kα.

Main lines, by angle (2θ = 10–90°):
2θ/deg	d (Å)	Rel. int.
20.46	4.342	63.7
23.01	3.865	33.2
23.75	3.746	77.7
32.88	2.724	23.4
37.62	2.391	100.0
38.16	2.358	49.5
38.37	2.346	99.1
38.61	2.332	49.1
55.41	1.658	31.8
69.22	1.357	23.1

Crystal structure
Cell: 5.567 5.567 8.722 Å, 94.90 94.90 49.52°
Positions (direct):
Li 0.078 0.078 0.145
Li 0.922 0.922 0.855
Mg 0.000 0.000 0.500
Mg 0.289 0.289 0.400
Mg 0.357 0.357 0.044
Mg 0.643 0.643 0.956
Mg 0.711 0.711 0.600
Ag 0.178 0.178 0.777
Ag 0.446 0.446 0.692
Ag 0.554 0.554 0.308
Ag 0.822 0.822 0.223

No. 4
Starting from the PBE geometry in Alexandria, the powder X-ray diffraction pattern of MgHgSeS was calculated for Cu Kα.

Main lines, by angle (2θ = 10–90°):
2θ/deg	d (Å)	Rel. int.
12.83	6.899	71.7
24.67	3.609	25.5
25.80	3.454	100.0
32.63	2.744	32.6
39.15	2.301	15.8
42.76	2.115	68.3
44.80	2.023	22.1
50.62	1.803	46.8
68.34	1.373	16.3
78.28	1.221	17.3

Crystal structure
Cell: 4.232 4.232 20.697 Å, 90.00 90.00 120.00°
Positions (direct):
Mg 0.000 0.000 0.000
Mg 0.333 0.667 0.667
Mg 0.667 0.333 0.333
Hg 0.000 0.000 0.511
Hg 0.333 0.667 0.178
Hg 0.667 0.333 0.844
Se 0.000 0.000 0.126
Se 0.333 0.667 0.793
Se 0.667 0.333 0.459
S 0.000 0.000 0.636
S 0.333 0.667 0.303
S 0.667 0.333 0.970

Repeat the second record exactly.
Starting from the PBE geometry in Alexandria, the powder X-ray diffraction pattern of SmCuSi3 was calculated for Cu Kα.

Main lines, by angle (2θ = 10–90°):
2θ/deg	d (Å)	Rel. int.
16.79	5.281	20.5
25.27	3.524	18.0
30.49	2.932	13.0
31.31	2.857	10.3
33.59	2.668	100.0
44.37	2.042	14.7
44.54	2.034	33.8
56.93	1.618	17.9
64.68	1.441	21.7
75.02	1.266	18.7

Crystal structure
Cell: 10.757 10.757 4.084 Å, 90.00 90.00 158.19°
Positions (direct):
Sm 0.167 0.833 0.000
Sm 0.833 0.167 0.000
Cu 0.389 0.611 0.500
Cu 0.611 0.389 0.500
Si 0.055 0.945 0.500
Si 0.279 0.721 0.500
Si 0.445 0.555 0.000
Si 0.555 0.445 0.000
Si 0.721 0.279 0.500
Si 0.945 0.055 0.500